P2WO8: simulated powder diffraction line list (Cu Kα X-rays), based on a GGA+U-relaxed structure.
Neutral-atom scattering factors, no anomalous dispersion.

Cell lengths 5.257, 11.122, 11.309 Å; angles 90.00, 90.00, 90.00 degrees
Fractional coordinates of all 44 atoms:
P1 0.242 0.096 0.462
P2 0.247 0.138 0.845
P3 0.253 0.862 0.345
P4 0.258 0.904 0.962
P5 0.742 0.404 0.538
P6 0.747 0.362 0.155
P7 0.753 0.638 0.655
P8 0.758 0.596 0.038
W1 0.246 0.401 0.341
W2 0.254 0.599 0.841
W3 0.746 0.099 0.659
W4 0.754 0.901 0.159
O1 0.003 0.565 0.970
O2 0.012 0.837 0.266
O3 0.021 0.162 0.756
O4 0.026 0.933 0.040
O5 0.236 0.197 0.960
O6 0.244 0.223 0.416
O7 0.247 0.990 0.851
O8 0.248 0.545 0.285
O9 0.252 0.455 0.785
O10 0.253 0.010 0.351
O11 0.256 0.777 0.916
O12 0.264 0.803 0.460
O13 0.474 0.067 0.540
O14 0.479 0.838 0.256
O15 0.488 0.163 0.766
O16 0.497 0.435 0.470
O17 0.503 0.935 0.030
O18 0.512 0.663 0.734
O19 0.521 0.338 0.244
O20 0.526 0.567 0.960
O21 0.736 0.303 0.040
O22 0.744 0.277 0.584
O23 0.747 0.510 0.149
O24 0.748 0.955 0.715
O25 0.752 0.045 0.215
O26 0.753 0.490 0.649
O27 0.756 0.723 0.084
O28 0.764 0.697 0.540
O29 0.974 0.433 0.460
O30 0.979 0.662 0.744
O31 0.988 0.337 0.234
O32 0.997 0.065 0.530

Top 6 peaks for 15° ≤ 2θ ≤ 90°, sorted by position:
2θ = 17.60°, I 25
2θ = 17.77°, I 100
2θ = 23.10°, I 98
2θ = 24.47°, I 23
2θ = 25.28°, I 24
2θ = 33.39°, I 50